No. 1
YNiGe: calculated powder XRD pattern (Cu Kα (λ = 1.5418 Å)), based on DFT lattice parameters and positions (PBE).
Intensities are scaled so that the largest is 100.

Main lines, in order of rising 2θ (2θ from 10° to 90°):
hkl, two_theta, I (rel.)
1 1 2, 35.10, 47
2 1 1, 35.72, 100
2 0 2, 35.95, 38
3 0 1, 41.11, 30
0 2 0, 42.58, 42
0 1 3, 43.18, 59
2 2 2, 56.92, 21
3 2 1, 60.67, 18
3 1 4, 69.74, 23
5 1 2, 77.20, 13

Structure:
Lattice parameters (Å, degrees): 6.915 4.247 7.227 90.00 90.00 90.00
Sites, in units of the cell vectors:
Y 0.010 0.250 0.205
Y 0.490 0.750 0.705
Y 0.510 0.250 0.295
Y 0.990 0.750 0.795
Ni 0.182 0.750 0.424
Ni 0.318 0.250 0.924
Ni 0.682 0.750 0.076
Ni 0.818 0.250 0.576
Ge 0.199 0.250 0.594
Ge 0.301 0.750 0.094
Ge 0.699 0.250 0.906
Ge 0.801 0.750 0.406



No. 2
NaGdP2H2CO7: calculated powder XRD pattern (Cu Kα (λ = 1.5418 Å)), based on DFT lattice parameters and positions (PBE).
Intensities are scaled so that the largest is 100.

Main lines, in order of rising 2θ (2θ from 10° to 90°):
hkl, two_theta, I (rel.)
0 2 0, 11.62, 36
1 0 0, 13.08, 54
1 1 0, 14.32, 60
0 1 1, 14.50, 100
1 1 1, 19.80, 43
1 2 -1, 21.87, 65
0 4 0, 23.36, 57
1 0 2, 30.17, 72
2 2 1, 32.17, 35
0 5 1, 32.30, 51

Structure:
Lattice parameters (Å, degrees): 6.769 15.230 6.670 90.00 91.44 90.00
Sites, in units of the cell vectors:
Na 0.200 0.028 0.140
Na 0.200 0.472 0.640
Na 0.800 0.528 0.360
Na 0.800 0.972 0.860
Gd 0.325 0.603 0.100
Gd 0.325 0.897 0.600
Gd 0.675 0.103 0.400
Gd 0.675 0.397 0.900
P 0.180 0.093 0.632
P 0.180 0.407 0.132
P 0.469 0.660 0.605
P 0.469 0.840 0.105
P 0.531 0.160 0.895
P 0.531 0.340 0.395
P 0.820 0.593 0.868
P 0.820 0.907 0.368
H 0.181 0.202 0.891
H 0.181 0.298 0.391
H 0.307 0.239 0.677
H 0.307 0.261 0.177
H 0.693 0.739 0.823
H 0.693 0.761 0.323
H 0.819 0.702 0.609
H 0.819 0.798 0.109
C 0.288 0.182 0.778
C 0.288 0.318 0.278
C 0.712 0.682 0.722
C 0.712 0.818 0.222
O 0.007 0.630 0.975
O 0.007 0.870 0.475
O 0.086 0.662 0.340
O 0.086 0.838 0.840
O 0.137 0.016 0.777
O 0.137 0.484 0.277
O 0.329 0.059 0.477
O 0.329 0.441 0.977
O 0.352 0.602 0.746
O 0.352 0.898 0.246
O 0.376 0.749 0.069
O 0.376 0.751 0.569
O 0.495 0.112 0.095
O 0.495 0.388 0.595
O 0.505 0.612 0.405
O 0.505 0.888 0.905
O 0.624 0.249 0.431
O 0.624 0.251 0.931
O 0.648 0.102 0.754
O 0.648 0.398 0.254
O 0.671 0.559 0.023
O 0.671 0.941 0.523
O 0.863 0.516 0.723
O 0.863 0.984 0.223
O 0.914 0.162 0.160
O 0.914 0.338 0.660
O 0.993 0.130 0.525
O 0.993 0.370 0.025



No. 3
SrNiN: calculated powder XRD pattern (Cu Kα (λ = 1.5418 Å)), based on DFT lattice parameters and positions (PBE).
Intensities are scaled so that the largest is 100.

Main lines, in order of rising 2θ (2θ from 10° to 90°):
hkl, two_theta, I (rel.)
1 3 1, 28.14, 45
1 4 1, 33.42, 86
3 0 1, 34.09, 100
0 0 2, 34.34, 39
1 5 1, 39.28, 24
4 4 0, 48.38, 12
2 4 2, 48.63, 22
1 7 1, 52.23, 12
6 0 0, 60.90, 17
3 0 3, 61.34, 14

Structure:
Lattice parameters (Å, degrees): 9.131 13.286 5.223 90.00 90.00 90.00
Sites, in units of the cell vectors:
Sr 0.009 0.250 0.007
Sr 0.167 0.587 0.522
Sr 0.167 0.913 0.522
Sr 0.333 0.087 0.022
Sr 0.333 0.413 0.022
Sr 0.491 0.750 0.507
Sr 0.509 0.250 0.493
Sr 0.667 0.587 0.978
Sr 0.667 0.913 0.978
Sr 0.833 0.087 0.478
Sr 0.833 0.413 0.478
Sr 0.991 0.750 0.993
Ni 0.000 0.000 0.000
Ni 0.000 0.500 0.000
Ni 0.161 0.161 0.537
Ni 0.161 0.339 0.537
Ni 0.339 0.661 0.037
Ni 0.339 0.839 0.037
Ni 0.500 0.000 0.500
Ni 0.500 0.500 0.500
Ni 0.661 0.161 0.963
Ni 0.661 0.339 0.963
Ni 0.839 0.661 0.463
Ni 0.839 0.839 0.463
N 0.080 0.077 0.765
N 0.080 0.423 0.765
N 0.243 0.250 0.308
N 0.257 0.750 0.808
N 0.420 0.577 0.265
N 0.420 0.923 0.265
N 0.580 0.077 0.735
N 0.580 0.423 0.735
N 0.743 0.250 0.192
N 0.757 0.750 0.692
N 0.920 0.577 0.235
N 0.920 0.923 0.235